VPNF2: computed X-ray powder pattern (Cu Kα (weighted mean of Kα1 and Kα2)), based on the GGA+U geometry in Alexandria.
Kinematic intensities with the Lorentz-polarization factor, no thermal factor.

Atomic structure:
```
5
Lattice="3.916 0.000 0.000 0.000 3.916 0.000 0.000 0.000 4.115" Properties=species:S:1:pos:R:3 pbc="T T T"
V 0.000 0.000 0.000
P 1.958 1.958 2.058
N 0.000 0.000 2.058
F 0.000 1.958 0.000
F 1.958 0.000 0.000
```

The 10 most intense peaks (2θ from 10° to 80°), in order of rising 2θ:
2θ = 21.60°, intensity 30
2θ = 22.71°, intensity 30
2θ = 31.54°, intensity 100
2θ = 32.33°, intensity 31
2θ = 39.22°, intensity 12
2θ = 44.01°, intensity 36
2θ = 46.38°, intensity 60
2θ = 57.17°, intensity 34
2θ = 65.85°, intensity 35
2θ = 67.68°, intensity 16